Structure and calculated powder XRD pattern of Ag3F8 (a crystal structure in OQMD, relaxed with GGA-PBE; copper Kα).
Peak positions follow from Bragg's law for the DFT cell and can differ from measured ones.

Lattice parameters (Å, degrees): 4.7131 10.8417 6.6689 90.00 127.54 90.00
Fractional coordinates of all 22 atoms:
Ag 0.0000 0.0000 0.0000
Ag 0.0000 0.5000 0.5000
Ag 0.2454 0.1846 0.5342
Ag 0.2454 0.3154 0.0342
Ag 0.7546 0.6846 0.9658
Ag 0.7546 0.8154 0.4658
F 0.0716 0.7155 0.7738
F 0.0716 0.7845 0.2738
F 0.0907 0.0242 0.3519
F 0.0907 0.4758 0.8519
F 0.4309 0.1599 0.2258
F 0.4309 0.3401 0.7258
F 0.4635 0.5924 0.6409
F 0.4635 0.9076 0.1409
F 0.5365 0.0924 0.8591
F 0.5365 0.4076 0.3591
F 0.5691 0.6599 0.2742
F 0.5691 0.8401 0.7742
F 0.9093 0.5242 0.1481
F 0.9093 0.9758 0.6481
F 0.9284 0.2155 0.7262
F 0.9284 0.2845 0.2262

Principal peaks in the range 2θ from 15° to 90°, in order of rising 2θ:
- 25.2 deg, I = 100
- 26.9 deg, I = 26
- 28.2 deg, I = 34
- 29.9 deg, I = 85
- 31.3 deg, I = 19
- 41.1 deg, I = 37
- 42.1 deg, I = 29
- 48.6 deg, I = 21
- 50.4 deg, I = 29
- 58.3 deg, I = 18

***

Structure and calculated powder XRD pattern of ErGePd2 (a crystal structure in OQMD, relaxed with GGA-PBE; copper Kα).
Peak positions follow from Bragg's law for the DFT cell and can differ from measured ones.

Lattice parameters (Å, degrees): 4.4215 5.7979 5.7705 90.00 90.00 90.00
Fractional coordinates of all 8 atoms:
Er 0.0000 0.0932 0.0000
Er 0.5000 0.9068 0.5000
Ge 0.0000 0.6096 0.2376
Ge 0.5000 0.3904 0.7376
Pd 0.0000 0.2395 0.5135
Pd 0.0000 0.6742 0.7164
Pd 0.5000 0.3258 0.2164
Pd 0.5000 0.7605 0.0135

Principal peaks in the range 2θ from 15° to 90°, in order of rising 2θ:
- 29.8 deg, I = 28
- 34.7 deg, I = 31
- 37.1 deg, I = 45
- 40.4 deg, I = 100
- 40.8 deg, I = 33
- 49.8 deg, I = 13
- 54.6 deg, I = 21
- 66.2 deg, I = 11
- 74.0 deg, I = 16
- 76.9 deg, I = 9

***

Structure and calculated powder XRD pattern of ScNb2Ag4 (a crystal structure in OQMD, relaxed with GGA-PBE; copper Kα).
Peak positions follow from Bragg's law for the DFT cell and can differ from measured ones.

Lattice parameters (Å, degrees): 2.9593 2.9593 16.7193 90.00 90.00 120.00
Fractional coordinates of all 7 atoms:
Sc 0.0000 0.0000 0.0000
Nb 0.3333 0.6667 0.7033
Nb 0.6667 0.3333 0.2967
Ag 0.3333 0.6667 0.4333
Ag 0.3333 0.6667 0.8649
Ag 0.6667 0.3333 0.1351
Ag 0.6667 0.3333 0.5667

Principal peaks in the range 2θ from 15° to 90°, in order of rising 2θ:
- 35.0 deg, I = 58
- 35.4 deg, I = 90
- 36.7 deg, I = 87
- 37.7 deg, I = 87
- 38.7 deg, I = 49
- 41.3 deg, I = 100
- 44.5 deg, I = 94
- 62.8 deg, I = 61
- 75.6 deg, I = 62
- 78.0 deg, I = 39

***

Structure and calculated powder XRD pattern of LaPrInNi2 (a crystal structure in OQMD, relaxed with GGA-PBE; copper Kα).
Peak positions follow from Bragg's law for the DFT cell and can differ from measured ones.

Lattice parameters (Å, degrees): 3.8490 4.0501 14.6406 90.00 90.00 90.00
Fractional coordinates of all 10 atoms:
La 0.0000 0.0000 0.0000
La 0.0000 0.5000 0.5000
Pr 0.0000 0.0000 0.7259
Pr 0.0000 0.5000 0.2259
In 0.5000 0.0000 0.3608
In 0.5000 0.5000 0.8608
Ni 0.5000 0.0000 0.1609
Ni 0.5000 0.0000 0.5605
Ni 0.5000 0.5000 0.0605
Ni 0.5000 0.5000 0.6609

Principal peaks in the range 2θ from 15° to 90°, in order of rising 2θ:
- 28.6 deg, I = 37
- 32.7 deg, I = 100
- 33.8 deg, I = 71
- 37.1 deg, I = 31
- 37.9 deg, I = 37
- 44.8 deg, I = 25
- 47.2 deg, I = 21
- 54.9 deg, I = 16
- 57.2 deg, I = 31
- 62.1 deg, I = 17

***

Structure and calculated powder XRD pattern of LiZr (a crystal structure in OQMD, relaxed with GGA-PBE; copper Kα).
Peak positions follow from Bragg's law for the DFT cell and can differ from measured ones.

Lattice parameters (Å, degrees): 7.7102 4.5391 4.5231 90.00 90.00 90.00
Fractional coordinates of all 8 atoms:
Li 0.0865 0.0014 0.2500
Li 0.0865 0.4986 0.7500
Li 0.9135 0.5014 0.2500
Li 0.9135 0.9986 0.7500
Zr 0.3667 0.0000 0.7500
Zr 0.3667 0.5000 0.2500
Zr 0.6333 0.0000 0.2500
Zr 0.6333 0.5000 0.7500

Principal peaks in the range 2θ from 15° to 90°, in order of rising 2θ:
- 30.2 deg, I = 79
- 34.9 deg, I = 17
- 36.5 deg, I = 100
- 39.7 deg, I = 20
- 39.9 deg, I = 20
- 41.5 deg, I = 12
- 45.2 deg, I = 14
- 57.5 deg, I = 13
- 70.0 deg, I = 14
- 70.2 deg, I = 14

***

Structure and calculated powder XRD pattern of YAg3P2S8 (a crystal structure in OQMD, relaxed with GGA-PBE; copper Kα).
Peak positions follow from Bragg's law for the DFT cell and can differ from measured ones.

Lattice parameters (Å, degrees): 9.7463 9.7463 9.4623 118.99 118.99 57.00
Fractional coordinates of all 28 atoms:
Y 0.0354 0.9646 0.7500
Y 0.9646 0.0354 0.2500
Ag 0.2320 0.4645 0.9707
Ag 0.4294 0.5706 0.7500
Ag 0.4645 0.2320 0.4707
Ag 0.5355 0.7680 0.5293
Ag 0.5706 0.4294 0.2500
Ag 0.7680 0.5355 0.0293
P 0.1446 0.6599 0.3720
P 0.3401 0.8554 0.1280
P 0.6599 0.1446 0.8720
P 0.8554 0.3401 0.6280
S 0.0745 0.2610 0.8159
S 0.1022 0.6281 0.5442
S 0.1334 0.7824 0.9960
S 0.2176 0.8666 0.5040
S 0.2610 0.0745 0.3159
S 0.3214 0.4270 0.2714
S 0.3719 0.8978 0.9558
S 0.4270 0.3214 0.7714
S 0.5730 0.6786 0.2286
S 0.6281 0.1022 0.0442
S 0.6786 0.5730 0.7286
S 0.7390 0.9255 0.6841
S 0.7824 0.1334 0.4960
S 0.8666 0.2176 0.0040
S 0.8978 0.3719 0.4558
S 0.9255 0.7390 0.1841

Principal peaks in the range 2θ from 15° to 90°, in order of rising 2θ:
- 22.0 deg, I = 58
- 22.2 deg, I = 58
- 22.6 deg, I = 48
- 28.4 deg, I = 83
- 29.7 deg, I = 76
- 29.9 deg, I = 68
- 32.9 deg, I = 82
- 34.9 deg, I = 46
- 39.6 deg, I = 100
- 40.2 deg, I = 46

***

Structure and calculated powder XRD pattern of SrNi10P6 (a crystal structure in OQMD, relaxed with GGA-PBE; copper Kα).
Peak positions follow from Bragg's law for the DFT cell and can differ from measured ones.

Lattice parameters (Å, degrees): 8.6494 8.6494 8.7232 90.00 90.00 136.35
Fractional coordinates of all 34 atoms:
Sr 0.0000 0.0000 0.0000
Sr 0.5000 0.5000 0.5000
Ni 0.0263 0.3734 0.4702
Ni 0.0437 0.9563 0.6196
Ni 0.0864 0.4136 0.7500
Ni 0.1266 0.4737 0.0298
Ni 0.2068 0.7932 0.7920
Ni 0.2932 0.7068 0.2920
Ni 0.3734 0.0263 0.5298
Ni 0.4136 0.0864 0.2500
Ni 0.4563 0.5437 0.1196
Ni 0.4737 0.1266 0.9702
Ni 0.5263 0.8734 0.0298
Ni 0.5437 0.4563 0.8804
Ni 0.5864 0.9136 0.7500
Ni 0.6266 0.9737 0.4702
Ni 0.7068 0.2932 0.7080
Ni 0.7932 0.2068 0.2080
Ni 0.8734 0.5263 0.9702
Ni 0.9136 0.5864 0.2500
Ni 0.9563 0.0437 0.3804
Ni 0.9737 0.6266 0.5298
P 0.0912 0.9088 0.3713
P 0.1443 0.3557 0.2500
P 0.2082 0.7917 0.0730
P 0.2918 0.7083 0.5730
P 0.3557 0.1443 0.7500
P 0.4088 0.5912 0.8713
P 0.5912 0.4088 0.1287
P 0.6443 0.8557 0.2500
P 0.7083 0.2918 0.4270
P 0.7917 0.2082 0.9270
P 0.8557 0.6443 0.7500
P 0.9088 0.0912 0.6287

Principal peaks in the range 2θ from 15° to 90°, in order of rising 2θ:
- 29.9 deg, I = 56
- 32.8 deg, I = 42
- 33.5 deg, I = 51
- 35.8 deg, I = 100
- 36.5 deg, I = 61
- 37.9 deg, I = 75
- 47.9 deg, I = 99
- 52.4 deg, I = 45
- 55.6 deg, I = 51
- 57.3 deg, I = 48

***

Structure and calculated powder XRD pattern of Rb2MoI6 (a crystal structure in OQMD, relaxed with GGA-PBE; copper Kα).
Peak positions follow from Bragg's law for the DFT cell and can differ from measured ones.

Lattice parameters (Å, degrees): 7.9004 7.9004 12.3894 90.00 90.00 90.00
Fractional coordinates of all 18 atoms:
Rb 0.0000 0.5000 0.2500
Rb 0.0000 0.5000 0.7500
Rb 0.5000 0.0000 0.2500
Rb 0.5000 0.0000 0.7500
Mo 0.0000 0.0000 0.0000
Mo 0.5000 0.5000 0.5000
I 0.0000 0.0000 0.2276
I 0.0000 0.0000 0.7724
I 0.1953 0.2916 0.0000
I 0.2084 0.3047 0.5000
I 0.2916 0.8047 0.0000
I 0.3047 0.7916 0.5000
I 0.5000 0.5000 0.2724
I 0.5000 0.5000 0.7276
I 0.6953 0.2084 0.5000
I 0.7084 0.1953 0.0000
I 0.7916 0.6953 0.5000
I 0.8047 0.7084 0.0000

Principal peaks in the range 2θ from 15° to 90°, in order of rising 2θ:
- 25.2 deg, I = 16
- 26.8 deg, I = 100
- 28.8 deg, I = 38
- 29.1 deg, I = 22
- 32.0 deg, I = 43
- 38.7 deg, I = 10
- 43.6 deg, I = 33
- 49.8 deg, I = 27
- 54.0 deg, I = 11
- 55.2 deg, I = 11

***

Structure and calculated powder XRD pattern of DyTeAuO (a crystal structure in OQMD, relaxed with GGA-PBE; copper Kα).
Peak positions follow from Bragg's law for the DFT cell and can differ from measured ones.

Lattice parameters (Å, degrees): 10.0652 5.6843 5.6842 90.00 90.00 90.00
Fractional coordinates of all 16 atoms:
Dy 0.1066 0.9999 0.2500
Dy 0.1066 0.5001 0.7500
Dy 0.8934 0.0001 0.7500
Dy 0.8934 0.4999 0.2500
Te 0.2853 0.0007 0.7500
Te 0.2853 0.4993 0.2500
Te 0.7147 0.5007 0.7500
Te 0.7147 0.9993 0.2500
Au 0.4989 0.7500 0.0000
Au 0.4989 0.7500 0.5000
Au 0.5011 0.2500 0.0000
Au 0.5011 0.2500 0.5000
O 0.0000 0.2500 0.0000
O 0.0000 0.2500 0.5000
O 0.0000 0.7500 0.0000
O 0.0000 0.7500 0.5000

Principal peaks in the range 2θ from 15° to 90°, in order of rising 2θ:
- 17.6 deg, I = 27
- 28.4 deg, I = 81
- 32.7 deg, I = 100
- 34.8 deg, I = 64
- 36.3 deg, I = 82
- 45.1 deg, I = 93
- 48.3 deg, I = 34
- 54.2 deg, I = 27
- 58.2 deg, I = 29
- 65.7 deg, I = 57

***

Structure and calculated powder XRD pattern of Nd3Dy3NiTe2 (a crystal structure in OQMD, relaxed with GGA-PBE; copper Kα).
Peak positions follow from Bragg's law for the DFT cell and can differ from measured ones.

Lattice parameters (Å, degrees): 8.5294 8.5294 4.0048 90.00 90.00 120.00
Fractional coordinates of all 9 atoms:
Nd 0.0000 0.4067 0.0000
Nd 0.4067 0.0000 0.0000
Nd 0.5933 0.5933 0.0000
Dy 0.0000 0.7651 0.5000
Dy 0.2349 0.2349 0.5000
Dy 0.7651 0.0000 0.5000
Ni 0.0000 0.0000 0.0000
Te 0.3333 0.6667 0.5000
Te 0.6667 0.3333 0.5000

Principal peaks in the range 2θ from 15° to 90°, in order of rising 2θ:
- 30.6 deg, I = 100
- 32.1 deg, I = 83
- 33.0 deg, I = 75
- 36.5 deg, I = 27
- 39.3 deg, I = 35
- 45.3 deg, I = 22
- 50.0 deg, I = 22
- 56.6 deg, I = 33
- 59.2 deg, I = 29
- 62.1 deg, I = 18

***

Structure and calculated powder XRD pattern of TbCo2SiB (a crystal structure in OQMD, relaxed with GGA-PBE; copper Kα).
Peak positions follow from Bragg's law for the DFT cell and can differ from measured ones.

Lattice parameters (Å, degrees): 3.7312 3.7312 9.4004 90.00 90.00 90.00
Fractional coordinates of all 10 atoms:
Tb 0.0000 0.0000 0.0000
Tb 0.5000 0.5000 0.5000
Co 0.0000 0.5000 0.2312
Co 0.0000 0.5000 0.7312
Co 0.5000 0.0000 0.2312
Co 0.5000 0.0000 0.7312
Si 0.0000 0.0000 0.3664
Si 0.5000 0.5000 0.8664
B 0.0000 0.0000 0.6285
B 0.5000 0.5000 0.1285

Principal peaks in the range 2θ from 15° to 90°, in order of rising 2θ:
- 25.7 deg, I = 68
- 37.5 deg, I = 51
- 38.3 deg, I = 19
- 39.2 deg, I = 100
- 48.8 deg, I = 34
- 56.0 deg, I = 17
- 63.1 deg, I = 22
- 63.7 deg, I = 17
- 69.8 deg, I = 16
- 84.7 deg, I = 20

***

Structure and calculated powder XRD pattern of Ni2W (a crystal structure in OQMD, relaxed with GGA-PBE; copper Kα).
Peak positions follow from Bragg's law for the DFT cell and can differ from measured ones.

Lattice parameters (Å, degrees): 2.6569 2.6569 10.6485 90.00 90.00 90.00
Fractional coordinates of all 6 atoms:
Ni 0.0000 0.0000 0.1719
Ni 0.0000 0.0000 0.8281
Ni 0.5000 0.5000 0.3281
Ni 0.5000 0.5000 0.6719
W 0.0000 0.0000 0.5000
W 0.5000 0.5000 0.0000

Principal peaks in the range 2θ from 15° to 90°, in order of rising 2θ:
- 16.7 deg, I = 31
- 33.7 deg, I = 8
- 34.8 deg, I = 26
- 42.5 deg, I = 100
- 48.5 deg, I = 34
- 51.5 deg, I = 21
- 60.3 deg, I = 7
- 70.9 deg, I = 11
- 73.4 deg, I = 22
- 86.3 deg, I = 25